Record 1
For GeP2, a GGA-PBE-relaxed structure gives the computed X-ray powder pattern in this record (Cu Kα (weighted mean of Kα1 and Kα2)).
No peak broadening, texture or thermal motion is included.

Most intense lines, 10° ≤ 2θ ≤ 80°, sorted by position:
- 2θ = 25.73°, 3.462 Å, I = 42
- 2θ = 29.80°, 2.998 Å, I = 100
- 2θ = 33.41°, 2.682 Å, I = 22
- 2θ = 36.71°, 2.448 Å, I = 21
- 2θ = 42.64°, 2.120 Å, I = 56
- 2θ = 50.47°, 1.808 Å, I = 84

Structure:
```
data_GeP2
_cell_length_a 5.9969
_cell_length_b 5.9969
_cell_length_c 5.9969
_cell_angle_alpha 90.00
_cell_angle_beta 90.00
_cell_angle_gamma 90.00
_symmetry_space_group_name_H-M 'P 1'
_symmetry_Int_Tables_number 1
_symmetry_space_group_name_Hall 'P 1'
loop_
_atom_site_label
_atom_site_fract_x
_atom_site_fract_y
_atom_site_fract_z
Ge1 0.0000 0.0000 0.0000
Ge2 0.0000 0.5000 0.5000
Ge3 0.5000 0.0000 0.5000
Ge4 0.5000 0.5000 0.0000
P1 0.1032 0.6032 0.8968
P2 0.1032 0.8968 0.3968
P3 0.3968 0.1032 0.8968
P4 0.3968 0.3968 0.3968
P5 0.6032 0.6032 0.6032
P6 0.6032 0.8968 0.1032
P7 0.8968 0.1032 0.6032
P8 0.8968 0.3968 0.1032
```

***

Record 2
For TiNb2ZnPb4O12, a GGA-PBE-relaxed structure gives the computed X-ray powder pattern in this record (Cu Kα (weighted mean of Kα1 and Kα2)).
No peak broadening, texture or thermal motion is included.

Most intense lines, 10° ≤ 2θ ≤ 80°, sorted by position:
- 2θ = 30.29°, 2.951 Å, I = 74
- 2θ = 30.54°, 2.927 Å, I = 96
- 2θ = 30.76°, 2.907 Å, I = 80
- 2θ = 30.88°, 2.896 Å, I = 100
- 2θ = 31.01°, 2.884 Å, I = 87
- 2θ = 31.16°, 2.870 Å, I = 100

Structure:
```
data_TiNb2ZnPb4O12
_cell_length_a 4.0184
_cell_length_b 4.1207
_cell_length_c 16.7723
_cell_angle_alpha 89.54
_cell_angle_beta 89.78
_cell_angle_gamma 89.73
_symmetry_space_group_name_H-M 'P 1'
_symmetry_Int_Tables_number 1
_symmetry_space_group_name_Hall 'P 1'
loop_
_atom_site_label
_atom_site_fract_x
_atom_site_fract_y
_atom_site_fract_z
Ti1 0.0000 0.0000 0.0000
Nb1 0.9688 0.9993 0.2480
Nb2 0.9879 0.9291 0.7523
Zn1 0.9788 0.9499 0.4973
Pb1 0.4369 0.3898 0.6003
Pb2 0.4697 0.5514 0.1183
Pb3 0.4868 0.4843 0.4029
Pb4 0.5241 0.5221 0.8873
O1 0.0006 0.9774 0.6394
O2 0.4761 0.9468 0.2349
O3 0.4825 0.9318 0.0000
O4 0.4829 0.9672 0.4978
O5 0.4876 0.9599 0.7628
O6 0.9766 0.4559 0.2390
O7 0.9770 0.9378 0.8829
O8 0.9772 0.9497 0.3594
O9 0.9824 0.9275 0.1171
O10 0.9851 0.4389 0.9988
O11 0.9853 0.4638 0.7601
O12 0.9990 0.4546 0.4976
```